Calculated powder diffractogram
Compound: CeSmBr
Radiation: Cu Kα (weighted mean of Kα1 and Kα2)
Structure: a PBE-relaxed structure
Peak positions follow from Bragg's law for the DFT cell and can differ from measured ones.

Atomic structure:
```
data_CeSmBr
_cell_length_a 14.145
_cell_length_b 3.623
_cell_length_c 6.902
_cell_angle_alpha 90.00
_cell_angle_beta 90.49
_cell_angle_gamma 90.00
_space_group_name_H-M_alt 'C 1 2/m 1'
_space_group_IT_number 12
_space_group_name_Hall '-C 2y'
loop_
_atom_site_label
_atom_site_type_symbol
_atom_site_fract_x
_atom_site_fract_y
_atom_site_fract_z
Ce1 Ce 0.194 0.000 0.077
Sm1 Sm 0.147 0.000 0.598
Br1 Br 0.039 0.500 0.262
```

Peak list (10 most intense, 10° ≤ 2θ ≤ 90°, by intensity)
Position (°2θ)	I (rel.)	(hkl)
31.13	1000	3 1 0
36.48	911	1 1 -2
28.88	720	2 0 2
59.79	252	1 1 4
36.22	239	4 0 -2
12.52	224	2 0 0
59.11	189	2 2 2
28.26	182	4 0 -1
50.37	172	0 2 0
48.77	172	5 1 2